(1)
LiHo2Hg2: simulated X-ray powder pattern (Cu Kα (weighted mean of Kα1 and Kα2)), based on DFT lattice parameters and positions (PBE).
Kinematic intensities with the Lorentz-polarization factor, no thermal factor.

Crystal structure
```
LiHo2Hg2
1.0
-3.6536 6.1023 2.8701
3.6536 -6.1023 2.8701
3.6536 6.1023 -2.8701
Li Ho Hg
2 4 4
direct
0.2500 0.2500 0.0000
0.7500 0.7500 0.0000
0.1775 0.6757 0.8532
0.3225 0.1757 0.4981
0.6775 0.8243 0.5019
0.8225 0.3243 0.1468
0.0804 0.2881 0.3685
0.4196 0.7881 0.2077
0.5804 0.2119 0.7923
0.9196 0.7119 0.6315
```

Peak list (6 most intense, 10 to 90 degrees two-theta, low angle first)
14.13 deg, 6.269 Å, rel. 22.6
24.36 deg, 3.654 Å, rel. 48.1
31.16 deg, 2.870 Å, rel. 45.8
35.51 deg, 2.528 Å, rel. 100.0
39.94 deg, 2.257 Å, rel. 28.0
58.31 deg, 1.583 Å, rel. 24.3

=====

(2)
La4Sm4Al: simulated X-ray powder pattern (Cu Kα (weighted mean of Kα1 and Kα2)), based on DFT lattice parameters and positions (PBE).
Kinematic intensities with the Lorentz-polarization factor, no thermal factor.

Crystal structure
```
La4Sm4Al
1.0
-3.2090 4.2935 5.6670
3.2090 -4.2935 5.6670
3.2090 4.2935 -5.6670
La Sm Al
4 4 1
direct
0.0000 0.0000 0.0000
0.3333 0.5000 0.8333
0.5000 0.0000 0.5000
0.6667 0.5000 0.1667
0.1038 0.9621 0.5823
0.3798 0.5214 0.4177
0.6202 0.0379 0.1417
0.8962 0.4786 0.8583
0.0000 0.5000 0.5000
```

Peak list (6 most intense, 10 to 90 degrees two-theta, low angle first)
26.18 deg, 3.404 Å, rel. 100.0
31.58 deg, 2.834 Å, rel. 43.0
32.05 deg, 2.792 Å, rel. 78.3
34.57 deg, 2.594 Å, rel. 47.5
45.20 deg, 2.006 Å, rel. 21.4
47.52 deg, 1.913 Å, rel. 19.1

=====

(3)
K3NaTh2O6: simulated X-ray powder pattern (Cu Kα (weighted mean of Kα1 and Kα2)), based on DFT lattice parameters and positions (PBE).
Kinematic intensities with the Lorentz-polarization factor, no thermal factor.

Crystal structure
```
K3NaTh2O6
1.0
3.1674 -5.4904 0.0000
3.1674 5.4904 0.0000
-2.1211 0.0000 12.5992
K Na Th O
6 2 4 12
direct
0.0000 0.5000 0.5000
0.1564 0.3128 0.9998
0.3128 0.1564 0.4998
0.5000 0.0000 0.0000
0.6872 0.8436 0.5002
0.8436 0.6872 0.0002
0.0842 0.9158 0.7500
0.9158 0.0842 0.2500
0.2499 0.7501 0.2500
0.4174 0.5826 0.7500
0.5826 0.4174 0.2500
0.7501 0.2499 0.7500
0.0513 0.2523 0.6529
0.1164 0.5782 0.8470
0.2523 0.0513 0.1529
0.3195 0.4872 0.3474
0.4218 0.8836 0.6530
0.4872 0.3195 0.8474
0.5128 0.6805 0.1526
0.5782 0.1164 0.3470
0.6805 0.5128 0.6526
0.7477 0.9487 0.8471
0.8836 0.4218 0.1530
0.9487 0.7477 0.3471
```

Peak list (6 most intense, 10 to 90 degrees two-theta, low angle first)
14.06 deg, 6.300 Å, rel. 83.6
28.56 deg, 3.125 Å, rel. 37.8
29.74 deg, 3.004 Å, rel. 75.9
34.07 deg, 2.632 Å, rel. 100.0
48.04 deg, 1.894 Å, rel. 33.6
49.85 deg, 1.829 Å, rel. 32.2

=====

(4)
Na2Sr4Tl: simulated X-ray powder pattern (Cu Kα (weighted mean of Kα1 and Kα2)), based on DFT lattice parameters and positions (PBE).
Kinematic intensities with the Lorentz-polarization factor, no thermal factor.

Crystal structure
```
Na2Sr4Tl
1.0
3.0214 1.7444 9.7931
-3.0214 1.7444 9.7931
0.0000 -3.4888 9.7931
Na Sr Tl
2 4 1
direct
0.2485 0.2485 0.2485
0.7515 0.7515 0.7515
0.1274 0.1274 0.1274
0.3777 0.3777 0.3777
0.6223 0.6223 0.6223
0.8726 0.8726 0.8726
0.5000 0.5000 0.5000
```

Peak list (6 most intense, 10 to 90 degrees two-theta, low angle first)
17.21 deg, 5.152 Å, rel. 40.9
29.57 deg, 3.021 Å, rel. 100.0
29.72 deg, 3.006 Å, rel. 97.6
30.97 deg, 2.887 Å, rel. 22.0
42.42 deg, 2.131 Å, rel. 36.9
52.52 deg, 1.742 Å, rel. 59.0

=====

(5)
TlSbIr4: simulated X-ray powder pattern (Cu Kα (weighted mean of Kα1 and Kα2)), based on DFT lattice parameters and positions (PBE).
Kinematic intensities with the Lorentz-polarization factor, no thermal factor.

Crystal structure
```
TlSbIr4
1.0
0.0000 3.7904 3.7904
3.7904 0.0000 3.7904
3.7904 3.7904 0.0000
Tl Sb Ir
1 1 4
direct
0.0000 0.0000 0.0000
0.2500 0.2500 0.2500
0.1248 0.6251 0.6251
0.6251 0.1248 0.6251
0.6251 0.6251 0.1248
0.6251 0.6251 0.6251
```

Peak list (6 most intense, 10 to 90 degrees two-theta, low angle first)
33.43 deg, 2.680 Å, rel. 21.8
39.42 deg, 2.286 Å, rel. 100.0
41.25 deg, 2.188 Å, rel. 46.1
63.80 deg, 1.459 Å, rel. 32.8
70.24 deg, 1.340 Å, rel. 29.2
84.84 deg, 1.143 Å, rel. 18.1

=====

(6)
Tb2HoIn2Hg2: simulated X-ray powder pattern (Cu Kα (weighted mean of Kα1 and Kα2)), based on DFT lattice parameters and positions (PBE).
Kinematic intensities with the Lorentz-polarization factor, no thermal factor.

Crystal structure
```
Tb2HoIn2Hg2
1.0
2.4701 1.4261 8.8544
-2.4701 1.4261 8.8544
0.0000 -2.8522 8.8544
Tb Ho In Hg
2 1 2 2
direct
0.1304 0.1304 0.1304
0.8696 0.8696 0.8696
0.0000 0.0000 0.0000
0.2702 0.2702 0.2702
0.7298 0.7298 0.7298
0.4244 0.4244 0.4244
0.5756 0.5756 0.5756
```

Peak list (6 most intense, 10 to 90 degrees two-theta, low angle first)
31.51 deg, 2.839 Å, rel. 100.0
36.37 deg, 2.470 Å, rel. 83.3
48.88 deg, 1.863 Å, rel. 29.6
52.78 deg, 1.734 Å, rel. 12.5
62.43 deg, 1.488 Å, rel. 28.4
65.45 deg, 1.426 Å, rel. 15.0

=====

(7)
AgAsF7: simulated X-ray powder pattern (Cu Kα (weighted mean of Kα1 and Kα2)), based on DFT lattice parameters and positions (PBE).
Kinematic intensities with the Lorentz-polarization factor, no thermal factor.

Crystal structure
```
AgAsF7
1.0
7.8448 0.0000 0.0000
0.0000 7.2039 0.0000
0.0000 0.0000 9.9915
Ag As F
4 4 28
direct
0.1360 0.2500 0.2426
0.3640 0.7500 0.7426
0.6360 0.2500 0.2574
0.8640 0.7500 0.7574
0.1998 0.7500 0.0598
0.3002 0.2500 0.5598
0.6998 0.7500 0.4402
0.8002 0.2500 0.9402
0.0066 0.2500 0.0175
0.1005 0.2500 0.6347
0.1111 0.7500 0.6938
0.1255 0.5750 0.1708
0.1255 0.9250 0.1708
0.2327 0.0774 0.4417
0.2327 0.4226 0.4417
0.2673 0.5774 0.9417
0.2673 0.9226 0.9417
0.3745 0.0750 0.6708
0.3745 0.4250 0.6708
0.3889 0.2500 0.1938
0.3995 0.7500 0.1347
0.4934 0.7500 0.5175
0.5066 0.2500 0.4825
0.6005 0.2500 0.8653
0.6111 0.7500 0.8062
0.6255 0.5750 0.3292
0.6255 0.9250 0.3292
0.7327 0.0774 0.0583
0.7327 0.4226 0.0583
0.7673 0.5774 0.5583
0.7673 0.9226 0.5583
0.8745 0.0750 0.8292
0.8745 0.4250 0.8292
0.8889 0.2500 0.3062
0.8995 0.7500 0.3653
0.9934 0.7500 0.9825
```

Peak list (6 most intense, 10 to 90 degrees two-theta, low angle first)
15.16 deg, 5.843 Å, rel. 62.2
18.94 deg, 4.686 Å, rel. 100.0
24.38 deg, 3.651 Å, rel. 58.2
24.72 deg, 3.602 Å, rel. 64.6
29.55 deg, 3.023 Å, rel. 61.9
31.55 deg, 2.836 Å, rel. 45.0

=====

(8)
Pa3Tl3Te8Au: simulated X-ray powder pattern (Cu Kα (weighted mean of Kα1 and Kα2)), based on DFT lattice parameters and positions (PBE).
Kinematic intensities with the Lorentz-polarization factor, no thermal factor.

Crystal structure
```
Pa3Tl3Te8Au
1.0
7.1778 -4.6258 0.0000
7.1778 4.6258 0.0000
-4.3599 0.0000 8.2406
Pa Tl Te Au
3 3 8 1
direct
0.0000 0.0000 0.0000
0.0000 0.5000 0.0000
0.5000 0.0000 0.0000
0.0000 0.5000 0.5000
0.5000 0.0000 0.5000
0.5000 0.5000 0.5000
0.2002 0.7615 0.2302
0.2385 0.7998 0.7698
0.2417 0.2417 0.2188
0.2894 0.2894 0.8080
0.7106 0.7106 0.1920
0.7583 0.7583 0.7812
0.7615 0.2002 0.2302
0.7998 0.2385 0.7698
0.5000 0.5000 0.0000
```

Peak list (6 most intense, 10 to 90 degrees two-theta, low angle first)
27.45 deg, 3.250 Å, rel. 100.0
28.13 deg, 3.172 Å, rel. 42.2
36.64 deg, 2.452 Å, rel. 38.9
38.94 deg, 2.313 Å, rel. 18.4
39.47 deg, 2.283 Å, rel. 18.9
42.59 deg, 2.123 Å, rel. 28.3

=====

(9)
PtC4S2I2O2: simulated X-ray powder pattern (Cu Kα (weighted mean of Kα1 and Kα2)), based on DFT lattice parameters and positions (PBE).
Kinematic intensities with the Lorentz-polarization factor, no thermal factor.

Crystal structure
```
PtC4S2I2O2
1.0
6.2942 0.0000 0.0000
3.1437 5.5483 0.0000
2.8892 1.1835 8.3276
Pt C S I O
1 4 2 2 2
direct
0.0000 0.0000 0.0000
0.0165 0.3952 0.5475
0.0477 0.2002 0.6386
0.9523 0.7998 0.3614
0.9835 0.6048 0.4525
0.0663 0.9278 0.7352
0.9337 0.0722 0.2648
0.4800 0.7609 0.9977
0.5200 0.2391 0.0023
0.3155 0.7284 0.6758
0.6845 0.2716 0.3242
```

Peak list (6 most intense, 10 to 90 degrees two-theta, low angle first)
10.62 deg, 8.328 Å, rel. 100.0
16.14 deg, 5.493 Å, rel. 18.6
17.29 deg, 5.130 Å, rel. 20.8
21.34 deg, 4.164 Å, rel. 20.2
29.23 deg, 3.055 Å, rel. 16.8
34.04 deg, 2.634 Å, rel. 16.0

=====

(10)
Ni5P2Pt: simulated X-ray powder pattern (Cu Kα (weighted mean of Kα1 and Kα2)), based on DFT lattice parameters and positions (PBE).
Kinematic intensities with the Lorentz-polarization factor, no thermal factor.

Crystal structure
```
Ni5P2Pt
1.0
-1.6726 3.2714 4.3604
1.6726 -3.2714 4.3604
1.6726 3.2714 -4.3604
Ni P Pt
5 2 1
direct
0.0000 0.0000 0.0000
0.0538 0.3539 0.6999
0.3460 0.6461 0.6999
0.6540 0.3539 0.3001
0.9462 0.6461 0.3001
0.2553 0.2553 0.0000
0.7447 0.7447 0.0000
0.5000 0.0000 0.5000
```

Peak list (6 most intense, 10 to 90 degrees two-theta, low angle first)
34.27 deg, 2.617 Å, rel. 32.7
36.54 deg, 2.459 Å, rel. 23.9
39.91 deg, 2.259 Å, rel. 100.0
41.14 deg, 2.194 Å, rel. 79.4
50.29 deg, 1.814 Å, rel. 42.4
77.64 deg, 1.230 Å, rel. 22.6

=====

(11)
K2CS3: simulated X-ray powder pattern (Cu Kα (weighted mean of Kα1 and Kα2)), based on DFT lattice parameters and positions (PBE).
Kinematic intensities with the Lorentz-polarization factor, no thermal factor.

Crystal structure
```
K2CS3
1.0
0.0000 5.3503 8.8567
4.2051 0.0000 8.8567
4.2051 5.3503 0.0000
K C S
4 2 6
direct
0.2139 0.7861 0.7861
0.2500 0.2500 0.2500
0.7500 0.7500 0.7500
0.7861 0.2139 0.2139
0.1704 0.1704 0.8296
0.8296 0.8296 0.1704
0.0195 0.7393 0.2607
0.2607 0.9805 0.0195
0.2668 0.2668 0.7332
0.7332 0.7332 0.2668
0.7393 0.0195 0.9805
0.9805 0.2607 0.7393
```

Peak list (6 most intense, 10 to 90 degrees two-theta, low angle first)
14.30 deg, 6.195 Å, rel. 80.8
28.82 deg, 3.097 Å, rel. 100.0
29.29 deg, 3.049 Å, rel. 48.7
39.35 deg, 2.290 Å, rel. 40.9
40.99 deg, 2.202 Å, rel. 21.4
59.71 deg, 1.549 Å, rel. 17.4

=====

(12)
Na2LiH6N3: simulated X-ray powder pattern (Cu Kα (weighted mean of Kα1 and Kα2)), based on DFT lattice parameters and positions (PBE).
Kinematic intensities with the Lorentz-polarization factor, no thermal factor.

Crystal structure
```
Na2LiH6N3
1.0
6.2837 0.0000 0.0000
0.0000 6.2837 0.0000
0.0000 0.0000 11.1520
Na Li H N
8 4 24 12
direct
0.0000 0.0000 0.0000
0.0000 0.0000 0.5000
0.0000 0.5000 0.1383
0.0000 0.5000 0.8617
0.5000 0.0000 0.3617
0.5000 0.0000 0.6383
0.5000 0.5000 0.2500
0.5000 0.5000 0.7500
0.3489 0.3590 0.5000
0.3590 0.6511 0.0000
0.6410 0.3489 0.0000
0.6511 0.6410 0.5000
0.0603 0.3465 0.3578
0.0603 0.3465 0.6422
0.1647 0.8339 0.2241
0.1647 0.8339 0.7759
0.1661 0.1647 0.2759
0.1661 0.1647 0.7241
0.2418 0.6930 0.4275
0.2418 0.6930 0.5725
0.3070 0.2418 0.0725
0.3070 0.2418 0.9275
0.3465 0.9397 0.1422
0.3465 0.9397 0.8578
0.6535 0.0603 0.1422
0.6535 0.0603 0.8578
0.6930 0.7582 0.0725
0.6930 0.7582 0.9275
0.7582 0.3070 0.4275
0.7582 0.3070 0.5725
0.8339 0.8353 0.2759
0.8339 0.8353 0.7241
0.8353 0.1661 0.2241
0.8353 0.1661 0.7759
0.9397 0.6535 0.3578
0.9397 0.6535 0.6422
0.2045 0.2753 0.3404
0.2045 0.2753 0.6596
0.2753 0.7955 0.1596
0.2753 0.7955 0.8404
0.2759 0.3381 0.0000
0.3381 0.7241 0.5000
0.6619 0.2759 0.5000
0.7241 0.6619 0.0000
0.7247 0.2045 0.1596
0.7247 0.2045 0.8404
0.7955 0.7247 0.3404
0.7955 0.7247 0.6596
```

Peak list (6 most intense, 10 to 90 degrees two-theta, low angle first)
16.19 deg, 5.474 Å, rel. 46.6
31.38 deg, 2.851 Å, rel. 85.4
35.78 deg, 2.509 Å, rel. 81.9
38.11 deg, 2.362 Å, rel. 100.0
40.23 deg, 2.242 Å, rel. 48.8
40.61 deg, 2.222 Å, rel. 86.9

=====

- Number 8 is which compound?
  Pa3Tl3Te8Au